Computed powder diffraction line list
Compound: Bi2B2O7
Radiation: CuKα
Structure: a GGA-PBE-relaxed structure

Top 6 peaks for 2θ = 10–90°, sorted by position:
| 2θ (°) | I/Imax |
| --- | --- |
| 11.87 | 100 |
| 18.42 | 69 |
| 21.74 | 90 |
| 22.04 | 92 |
| 24.86 | 68 |
| 31.58 | 64 |

Structure:
a = 5.576 Å, b = 8.240 Å, c = 8.630 Å
α = 112.99°, β = 99.44°, γ = 95.87°
Element x y z (fractional)
Bi (0.090, 0.212, 0.448)
Bi (0.305, 0.526, 0.165)
Bi (0.695, 0.474, 0.835)
Bi (0.910, 0.788, 0.552)
B (0.176, 0.252, 0.839)
B (0.388, 0.620, 0.633)
B (0.612, 0.380, 0.367)
B (0.824, 0.748, 0.161)
O (0.004, 0.320, 0.934)
O (0.084, 0.977, 0.962)
O (0.114, 0.131, 0.668)
O (0.267, 0.706, 0.542)
O (0.269, 0.478, 0.662)
O (0.360, 0.328, 0.299)
O (0.420, 0.320, 0.934)
O (0.580, 0.680, 0.066)
O (0.640, 0.672, 0.701)
O (0.731, 0.522, 0.338)
O (0.733, 0.294, 0.458)
O (0.886, 0.869, 0.332)
O (0.916, 0.023, 0.038)
O (0.996, 0.680, 0.066)


Computed powder diffraction line list
Compound: Cd2CuGeS4
Radiation: CuKα
Structure: a GGA-PBE-relaxed structure

Top 6 peaks for 2θ = 10–90°, sorted by position:
| 2θ (°) | I/Imax |
| --- | --- |
| 25.02 | 59 |
| 27.48 | 67 |
| 28.60 | 100 |
| 29.34 | 38 |
| 45.09 | 48 |
| 49.29 | 51 |

Structure:
a = 8.313 Å, b = 6.893 Å, c = 6.491 Å
α = 90.00°, β = 90.00°, γ = 90.00°
Element x y z (fractional)
Cd (0.248, 0.176, 0.000)
Cd (0.252, 0.824, 0.500)
Cd (0.748, 0.824, 0.500)
Cd (0.752, 0.176, 0.000)
Cu (0.000, 0.341, 0.501)
Cu (0.500, 0.659, 0.001)
Ge (0.000, 0.685, 0.990)
Ge (0.500, 0.315, 0.490)
S (0.000, 0.359, 0.860)
S (0.000, 0.651, 0.360)
S (0.229, 0.185, 0.396)
S (0.271, 0.815, 0.896)
S (0.500, 0.349, 0.860)
S (0.500, 0.641, 0.360)
S (0.729, 0.815, 0.896)
S (0.771, 0.185, 0.396)


Computed powder diffraction line list
Compound: Tm4AuSe5
Radiation: CuKα
Structure: a GGA-PBE-relaxed structure

Top 6 peaks for 2θ = 10–90°, sorted by position:
| 2θ (°) | I/Imax |
| --- | --- |
| 10.45 | 25 |
| 10.68 | 49 |
| 30.54 | 100 |
| 31.72 | 44 |
| 43.93 | 40 |
| 45.29 | 29 |

Structure:
a = 9.052 Å, b = 9.052 Å, c = 8.640 Å
α = 106.18°, β = 106.18°, γ = 25.42°
Element x y z (fractional)
Tm (0.003, 0.003, 0.272)
Tm (0.321, 0.321, 0.891)
Tm (0.679, 0.679, 0.109)
Tm (0.997, 0.997, 0.728)
Au (0.500, 0.500, 0.000)
Se (0.161, 0.161, 0.862)
Se (0.162, 0.162, 0.316)
Se (0.500, 0.500, 0.500)
Se (0.838, 0.838, 0.684)
Se (0.839, 0.839, 0.138)


Computed powder diffraction line list
Compound: Cs3Tl6Au5
Radiation: CuKα
Structure: a GGA-PBE-relaxed structure

Top 6 peaks for 2θ = 10–90°, sorted by position:
| 2θ (°) | I/Imax |
| --- | --- |
| 13.75 | 49 |
| 28.01 | 32 |
| 29.09 | 100 |
| 35.33 | 31 |
| 37.90 | 47 |
| 38.00 | 30 |

Structure:
a = 4.748 Å, b = 15.461 Å, c = 12.884 Å
α = 90.00°, β = 90.00°, γ = 90.00°
Element x y z (fractional)
Cs (0.250, 0.103, 0.241)
Cs (0.250, 0.397, 0.241)
Cs (0.250, 0.750, 0.276)
Cs (0.750, 0.250, 0.724)
Cs (0.750, 0.603, 0.759)
Cs (0.750, 0.897, 0.759)
Tl (0.250, 0.053, 0.597)
Tl (0.250, 0.250, 0.477)
Tl (0.250, 0.250, 0.954)
Tl (0.250, 0.447, 0.597)
Tl (0.250, 0.577, 0.021)
Tl (0.250, 0.923, 0.021)
Tl (0.750, 0.077, 0.979)
Tl (0.750, 0.423, 0.979)
Tl (0.750, 0.553, 0.403)
Tl (0.750, 0.750, 0.046)
Tl (0.750, 0.750, 0.523)
Tl (0.750, 0.947, 0.403)
Au (0.250, 0.075, 0.834)
Au (0.250, 0.425, 0.834)
Au (0.250, 0.631, 0.519)
Au (0.250, 0.750, 0.916)
Au (0.250, 0.869, 0.519)
Au (0.750, 0.131, 0.481)
Au (0.750, 0.250, 0.084)
Au (0.750, 0.369, 0.481)
Au (0.750, 0.575, 0.166)
Au (0.750, 0.925, 0.166)


Computed powder diffraction line list
Compound: ZrPd6Au3
Radiation: CuKα
Structure: a GGA-PBE-relaxed structure

Top 6 peaks for 2θ = 10–90°, sorted by position:
| 2θ (°) | I/Imax |
| --- | --- |
| 19.45 | 61 |
| 36.08 | 66 |
| 39.06 | 100 |
| 39.64 | 71 |
| 40.02 | 92 |
| 41.41 | 85 |

Structure:
a = 5.420 Å, b = 5.420 Å, c = 7.503 Å
α = 109.04°, β = 109.04°, γ = 59.17°
Element x y z (fractional)
Zr (0.000, 0.000, 0.000)
Pd (0.084, 0.588, 0.186)
Pd (0.131, 0.131, 0.423)
Pd (0.412, 0.916, 0.814)
Pd (0.588, 0.084, 0.186)
Pd (0.869, 0.869, 0.577)
Pd (0.916, 0.412, 0.814)
Au (0.405, 0.405, 0.801)
Au (0.500, 0.500, 0.500)
Au (0.595, 0.595, 0.199)


Computed powder diffraction line list
Compound: ThAlFe5
Radiation: CuKα
Structure: a GGA-PBE-relaxed structure

Top 6 peaks for 2θ = 10–90°, sorted by position:
| 2θ (°) | I/Imax |
| --- | --- |
| 20.41 | 39 |
| 22.87 | 81 |
| 36.52 | 87 |
| 38.97 | 88 |
| 39.22 | 100 |
| 42.22 | 35 |

Structure:
a = 8.052 Å, b = 4.916 Å, c = 10.340 Å
α = 90.00°, β = 90.00°, γ = 90.00°
Element x y z (fractional)
Th (0.239, 0.250, 0.060)
Th (0.261, 0.750, 0.560)
Th (0.739, 0.250, 0.440)
Th (0.761, 0.750, 0.940)
Al (0.146, 0.750, 0.857)
Al (0.354, 0.250, 0.357)
Al (0.646, 0.750, 0.643)
Al (0.854, 0.250, 0.143)
Fe (0.058, 0.750, 0.107)
Fe (0.065, 0.005, 0.310)
Fe (0.065, 0.495, 0.310)
Fe (0.092, 0.250, 0.519)
Fe (0.189, 0.250, 0.753)
Fe (0.311, 0.750, 0.253)
Fe (0.408, 0.750, 0.019)
Fe (0.435, 0.505, 0.810)
Fe (0.435, 0.995, 0.810)
Fe (0.442, 0.250, 0.607)
Fe (0.558, 0.750, 0.393)
Fe (0.565, 0.005, 0.190)
Fe (0.565, 0.495, 0.190)
Fe (0.592, 0.250, 0.981)
Fe (0.689, 0.250, 0.747)
Fe (0.811, 0.750, 0.247)
Fe (0.908, 0.750, 0.481)
Fe (0.935, 0.505, 0.690)
Fe (0.935, 0.995, 0.690)
Fe (0.942, 0.250, 0.893)


Computed powder diffraction line list
Compound: Pm2AgSe2O2
Radiation: CuKα
Structure: a GGA-PBE-relaxed structure

Top 6 peaks for 2θ = 10–90°, sorted by position:
| 2θ (°) | I/Imax |
| --- | --- |
| 27.20 | 100 |
| 30.14 | 39 |
| 34.53 | 18 |
| 39.97 | 37 |
| 46.15 | 54 |
| 60.80 | 24 |

Structure:
a = 3.934 Å, b = 3.934 Å, c = 12.040 Å
α = 90.00°, β = 90.00°, γ = 120.00°
Element x y z (fractional)
Pm (0.333, 0.667, 0.125)
Pm (0.667, 0.333, 0.875)
Ag (0.000, 0.000, 0.500)
Se (0.000, 0.000, 0.296)
Se (0.000, 0.000, 0.704)
O (0.333, 0.667, 0.926)
O (0.667, 0.333, 0.074)


Computed powder diffraction line list
Compound: LaDySe3
Radiation: CuKα
Structure: a GGA-PBE-relaxed structure

Top 6 peaks for 2θ = 10–90°, sorted by position:
| 2θ (°) | I/Imax |
| --- | --- |
| 23.10 | 41 |
| 26.54 | 31 |
| 34.58 | 100 |
| 38.59 | 29 |
| 43.13 | 42 |
| 44.72 | 27 |

Structure:
a = 4.195 Å, b = 7.074 Å, c = 9.181 Å
α = 90.00°, β = 90.00°, γ = 90.00°
Element x y z (fractional)
La (0.250, 0.250, 0.150)
La (0.750, 0.750, 0.850)
Dy (0.250, 0.750, 0.399)
Dy (0.750, 0.250, 0.601)
Se (0.250, 0.518, 0.664)
Se (0.250, 0.750, 0.073)
Se (0.250, 0.982, 0.664)
Se (0.750, 0.018, 0.336)
Se (0.750, 0.250, 0.927)
Se (0.750, 0.482, 0.336)